# 1
Simulated X-ray diffraction stick pattern of Tm2FeSi2 for Cu Kα (λ = 1.5418 Å), from the PBE geometry in the Materials Project.
Intensities are scaled so that the largest is 100.

Cell and atoms:
```
10
Lattice="5.148 -2.053 0.000 5.148 2.053 0.000 -4.737 0.000 8.588" Properties=species:S:1:pos:R:3 pbc="T T T"
Tm -1.550 0.000 2.822
Tm 1.418 0.000 0.936
Tm 4.141 0.000 7.652
Tm 7.110 0.000 5.767
Fe -0.171 0.000 5.365
Fe 5.730 0.000 3.223
Si 1.519 0.000 3.747
Si 4.526 0.000 1.083
Si 1.034 0.000 7.505
Si 4.040 0.000 4.842
```

Top 10 peaks for 2θ from 10° to 90°, by angle:
| Position (°2θ) | I (rel.) |
| --- | --- |
| 23.81 | 71 |
| 27.69 | 51 |
| 34.28 | 61 |
| 34.67 | 46 |
| 34.85 | 100 |
| 35.48 | 63 |
| 38.16 | 44 |
| 42.50 | 35 |
| 44.10 | 47 |
| 61.02 | 28 |

---

# 2
Simulated X-ray diffraction stick pattern of Tm2Fe15Si2 for Cu Kα (λ = 1.5418 Å), from the PBE geometry in the Materials Project.
Intensities are scaled so that the largest is 100.

Cell and atoms:
```
38
Lattice="8.296 0.000 0.000 -4.148 7.185 0.000 0.000 0.000 8.334" Properties=species:S:1:pos:R:3 pbc="T T T"
Tm 0.000 0.000 2.083
Tm 0.000 0.000 6.250
Tm 0.000 4.790 2.083
Tm 4.148 2.395 6.250
Fe -2.074 3.592 0.000
Fe -2.074 3.592 4.167
Fe -1.249 2.587 6.250
Fe -2.533 4.810 6.250
Fe 0.000 2.394 0.088
Fe 0.000 2.394 4.079
Fe -2.075 5.988 0.088
Fe -2.075 5.988 4.079
Fe 1.249 2.587 6.250
Fe -1.283 6.973 6.250
Fe 2.073 1.197 4.255
Fe 2.073 1.197 8.246
Fe 2.865 0.212 2.083
Fe 1.616 2.375 2.083
Fe 4.148 0.000 0.000
Fe 4.148 0.000 4.167
Fe 2.074 3.592 0.000
Fe 2.074 3.592 4.167
Fe 2.533 4.810 6.250
Fe 1.283 6.973 6.250
Fe 2.075 5.988 0.088
Fe 2.075 5.988 4.079
Fe 5.432 0.212 2.083
Fe 2.899 4.598 2.083
Fe 6.223 1.197 4.255
Fe 6.223 1.197 8.246
Fe 4.148 4.791 4.255
Fe 4.148 4.791 8.246
Fe 6.681 2.375 2.083
Fe 5.397 4.598 2.083
Si 0.000 4.790 5.021
Si 0.000 4.790 7.480
Si 4.148 2.395 0.854
Si 4.148 2.395 3.313
```

Top 10 peaks for 2θ from 10° to 90°, by angle:
| Position (°2θ) | I (rel.) |
| --- | --- |
| 30.41 | 30 |
| 37.56 | 23 |
| 41.07 | 12 |
| 43.43 | 24 |
| 43.60 | 100 |
| 63.27 | 14 |
| 63.39 | 9 |
| 71.95 | 13 |
| 79.82 | 12 |
| 80.15 | 11 |

---

# 3
Simulated X-ray diffraction stick pattern of TmFe2Si2 for Cu Kα (λ = 1.5418 Å), from the PBE geometry in the Materials Project.
Intensities are scaled so that the largest is 100.

Cell and atoms:
```
10
Lattice="3.947 0.000 0.000 0.000 3.947 0.000 0.000 0.000 9.425" Properties=species:S:1:pos:R:3 pbc="T T T"
Tm 0.000 0.000 0.000
Tm 1.973 1.973 4.713
Fe 0.000 1.973 2.356
Fe 0.000 1.973 7.069
Fe 1.973 0.000 2.356
Fe 1.973 0.000 7.069
Si 0.000 0.000 3.455
Si 0.000 0.000 5.970
Si 1.973 1.973 1.258
Si 1.973 1.973 8.167
```

Top 10 peaks for 2θ from 10° to 90°, by angle:
| Position (°2θ) | I (rel.) |
| --- | --- |
| 24.45 | 63 |
| 36.56 | 63 |
| 37.45 | 100 |
| 38.20 | 16 |
| 45.99 | 41 |
| 52.77 | 16 |
| 53.90 | 17 |
| 60.13 | 29 |
| 68.55 | 19 |
| 79.43 | 21 |